No. 1
For TmSnTe2AuS, a structure optimized by DFT (GGA-PBE) gives the computed PXRD pattern in this record (CuKα).
Neutral-atom scattering factors, no anomalous dispersion.

Top 10 peaks for 10 to 90 degrees two-theta, in order of falling intensity:
d 2.710, intensity 100
d 2.175, intensity 42
d 3.185, intensity 36
d 7.295, intensity 35
d 3.054, intensity 33
d 2.127, intensity 31
d 2.543, intensity 28
d 2.609, intensity 25
d 3.202, intensity 23
d 2.964, intensity 17

Structural model:
Unit cell a=7.5986 b=7.5986 c=10.1739 alpha=90.00 beta=90.00 gamma=147.49
Sites, in units of the cell vectors:
Tm 0.0000 0.0000 0.0000
Tm 0.0000 0.0000 0.5000
Sn 0.2708 0.7292 0.7500
Sn 0.7292 0.2708 0.2500
Te 0.3492 0.6508 0.0553
Te 0.3492 0.6508 0.4447
Te 0.6508 0.3492 0.5553
Te 0.6508 0.3492 0.9447
Au 0.4816 0.5184 0.2500
Au 0.5184 0.4816 0.7500
S 0.0815 0.9185 0.2500
S 0.9185 0.0815 0.7500

---

No. 2
For CdAg2GeTeSe3, a structure optimized by DFT (GGA-PBE) gives the computed PXRD pattern in this record (CuKα).
Neutral-atom scattering factors, no anomalous dispersion.

Top 10 peaks for 10 to 90 degrees two-theta, in order of falling intensity:
d 3.516, intensity 100
d 3.536, intensity 51
d 2.182, intensity 50
d 2.162, intensity 48
d 3.579, intensity 47
d 2.172, intensity 24
d 2.135, intensity 23
d 1.858, intensity 22
d 1.854, intensity 17
d 1.828, intensity 15

Structural model:
Unit cell a=6.0920 b=6.0920 c=7.5236 alpha=113.86 beta=113.86 gamma=89.01
Sites, in units of the cell vectors:
Cd 0.0000 0.0000 0.0000
Ag 0.2588 0.7347 0.4815
Ag 0.7347 0.2588 0.4815
Ge 0.5169 0.5169 0.0003
Te 0.1494 0.1494 0.7433
Se 0.3990 0.8557 0.2365
Se 0.6214 0.6214 0.7617
Se 0.8557 0.3990 0.2365

---

No. 3
For KHfPdSe2S, a structure optimized by DFT (GGA-PBE) gives the computed PXRD pattern in this record (CuKα).
Neutral-atom scattering factors, no anomalous dispersion.

Top 10 peaks for 10 to 90 degrees two-theta, in order of falling intensity:
d 7.491, intensity 100
d 2.722, intensity 23
d 2.511, intensity 21
d 2.051, intensity 18
d 2.812, intensity 15
d 2.245, intensity 12
d 1.837, intensity 10
d 3.125, intensity 10
d 1.896, intensity 9
d 2.453, intensity 9

Structural model:
Unit cell a=8.3943 b=3.7918 c=10.0625 alpha=90.00 beta=111.30 gamma=90.00
Sites, in units of the cell vectors:
K 0.2236 0.2500 0.2637
K 0.7764 0.7500 0.7363
Hf 0.3069 0.7500 0.8347
Hf 0.6931 0.2500 0.1653
Pd 0.1003 0.2500 0.5987
Pd 0.8997 0.7500 0.4013
Se 0.2699 0.7500 0.5600
Se 0.4429 0.7500 0.1288
Se 0.5571 0.2500 0.8712
Se 0.7301 0.2500 0.4400
S 0.1130 0.2500 0.8509
S 0.8870 0.7500 0.1491

---

No. 4
For SmScGa2Au2, a structure optimized by DFT (GGA-PBE) gives the computed PXRD pattern in this record (CuKα).
Neutral-atom scattering factors, no anomalous dispersion.

Top 10 peaks for 10 to 90 degrees two-theta, in order of falling intensity:
d 2.601, intensity 100
d 2.247, intensity 77
d 3.892, intensity 31
d 1.701, intensity 28
d 1.356, intensity 26
d 3.401, intensity 24
d 1.380, intensity 20
d 1.891, intensity 16
d 3.497, intensity 15
d 1.297, intensity 13

Structural model:
Unit cell a=4.4942 b=4.4942 c=6.9950 alpha=90.00 beta=90.00 gamma=120.00
Sites, in units of the cell vectors:
Sm 0.0000 0.0000 0.0000
Sc 0.0000 0.0000 0.5000
Ga 0.6667 0.3333 0.2429
Ga 0.6667 0.3333 0.7571
Au 0.3333 0.6667 0.2860
Au 0.3333 0.6667 0.7140

---

No. 5
For LiAgSnTe3, a structure optimized by DFT (GGA-PBE) gives the computed PXRD pattern in this record (CuKα).
Neutral-atom scattering factors, no anomalous dispersion.

Top 10 peaks for 10 to 90 degrees two-theta, in order of falling intensity:
d 2.694, intensity 100
d 3.457, intensity 39
d 3.645, intensity 35
d 6.944, intensity 30
d 2.927, intensity 29
d 1.991, intensity 24
d 2.989, intensity 24
d 2.028, intensity 19
d 1.978, intensity 19
d 2.129, intensity 18

Structural model:
Unit cell a=7.2241 b=7.2241 c=11.9567 alpha=90.00 beta=90.00 gamma=148.01
Sites, in units of the cell vectors:
Li 0.2167 0.7833 0.7500
Li 0.7833 0.2167 0.2500
Ag 0.4634 0.5366 0.2500
Ag 0.5366 0.4634 0.7500
Sn 0.0000 0.0000 0.0000
Sn 0.0000 0.0000 0.5000
Te 0.1061 0.8939 0.2500
Te 0.3449 0.6551 0.0610
Te 0.3449 0.6551 0.4390
Te 0.6551 0.3449 0.5610
Te 0.6551 0.3449 0.9390
Te 0.8939 0.1061 0.7500

---

No. 6
For Er3Co2Ni7, a structure optimized by DFT (GGA-PBE) gives the computed PXRD pattern in this record (CuKα).
Neutral-atom scattering factors, no anomalous dispersion.

Top 10 peaks for 10 to 90 degrees two-theta, in order of falling intensity:
d 2.100, intensity 100
d 2.686, intensity 53
d 2.459, intensity 52
d 2.467, intensity 43
d 2.121, intensity 39
d 1.421, intensity 24
d 1.339, intensity 21
d 1.230, intensity 20
d 1.460, intensity 16
d 1.950, intensity 14

Structural model:
Unit cell a=8.5573 b=8.5573 c=8.5573 alpha=33.40 beta=33.40 gamma=33.40
Sites, in units of the cell vectors:
Er 0.0000 0.0000 0.0000
Er 0.1388 0.1388 0.1388
Er 0.8612 0.8612 0.8612
Co 0.3333 0.3333 0.3333
Co 0.6667 0.6667 0.6667
Ni 0.0809 0.5821 0.5821
Ni 0.4179 0.4179 0.9191
Ni 0.4179 0.9191 0.4179
Ni 0.5000 0.5000 0.5000
Ni 0.5821 0.0809 0.5821
Ni 0.5821 0.5821 0.0809
Ni 0.9191 0.4179 0.4179

---

No. 7
For Ni3Br, a structure optimized by DFT (GGA-PBE) gives the computed PXRD pattern in this record (CuKα).
Neutral-atom scattering factors, no anomalous dispersion.

Top 10 peaks for 10 to 90 degrees two-theta, in order of falling intensity:
d 2.116, intensity 100
d 2.548, intensity 28
d 1.899, intensity 17
d 1.471, intensity 16
d 1.163, intensity 14
d 1.134, intensity 12
d 1.523, intensity 11
d 1.208, intensity 10
d 1.926, intensity 7
d 1.551, intensity 7

Structural model:
Unit cell a=5.8845 b=5.8845 c=3.7986 alpha=90.00 beta=90.00 gamma=120.00
Sites, in units of the cell vectors:
Ni 0.1449 0.2898 0.2500
Ni 0.1449 0.8551 0.2500
Ni 0.2898 0.1449 0.7500
Ni 0.7102 0.8551 0.2500
Ni 0.8551 0.1449 0.7500
Ni 0.8551 0.7102 0.7500
Br 0.3333 0.6667 0.7500
Br 0.6667 0.3333 0.2500

---

No. 8
For Dy2ErFe2Ni7, a structure optimized by DFT (GGA-PBE) gives the computed PXRD pattern in this record (CuKα).
Neutral-atom scattering factors, no anomalous dispersion.

Top 10 peaks for 10 to 90 degrees two-theta, in order of falling intensity:
d 2.120, intensity 100
d 2.699, intensity 52
d 2.490, intensity 51
d 2.479, intensity 41
d 2.148, intensity 40
d 1.355, intensity 31
d 1.245, intensity 20
d 1.475, intensity 16
d 1.435, intensity 15
d 1.970, intensity 13

Structural model:
Unit cell a=8.5732 b=8.5732 c=8.5732 alpha=33.77 beta=33.77 gamma=33.77
Sites, in units of the cell vectors:
Dy 0.1388 0.1388 0.1388
Dy 0.8612 0.8612 0.8612
Er 0.0000 0.0000 0.0000
Fe 0.3326 0.3326 0.3326
Fe 0.6674 0.6674 0.6674
Ni 0.0821 0.5808 0.5808
Ni 0.4192 0.4192 0.9179
Ni 0.4192 0.9179 0.4192
Ni 0.5000 0.5000 0.5000
Ni 0.5808 0.0821 0.5808
Ni 0.5808 0.5808 0.0821
Ni 0.9179 0.4192 0.4192

---

No. 9
For HfCuBiAu, a structure optimized by DFT (GGA-PBE) gives the computed PXRD pattern in this record (CuKα).
Neutral-atom scattering factors, no anomalous dispersion.

Top 10 peaks for 10 to 90 degrees two-theta, in order of falling intensity:
d 2.423, intensity 100
d 1.399, intensity 36
d 1.713, intensity 18
d 1.211, intensity 11
d 3.426, intensity 7
d 3.956, intensity 6
d 2.066, intensity 3
d 1.532, intensity 3
d 1.978, intensity 2
d 1.142, intensity 2

Structural model:
Unit cell a=4.8453 b=4.8453 c=4.8453 alpha=60.00 beta=60.00 gamma=60.00
Sites, in units of the cell vectors:
Hf 0.0000 0.0000 0.0000
Cu 0.5000 0.5000 0.5000
Bi 0.2500 0.2500 0.2500
Au 0.7500 0.7500 0.7500

---

No. 10
For ErPa2O4, a structure optimized by DFT (GGA-PBE) gives the computed PXRD pattern in this record (CuKα).
Neutral-atom scattering factors, no anomalous dispersion.

Top 10 peaks for 10 to 90 degrees two-theta, in order of falling intensity:
d 2.956, intensity 100
d 1.733, intensity 42
d 1.886, intensity 37
d 2.830, intensity 37
d 1.276, intensity 24
d 1.478, intensity 18
d 3.466, intensity 18
d 2.451, intensity 16
d 5.659, intensity 15
d 1.495, intensity 13

Structural model:
Unit cell a=6.9314 b=6.9314 c=6.9314 alpha=60.00 beta=60.00 gamma=60.00
Sites, in units of the cell vectors:
Er 0.1250 0.1250 0.1250
Er 0.8750 0.8750 0.8750
Pa 0.0000 0.5000 0.5000
Pa 0.5000 0.0000 0.5000
Pa 0.5000 0.5000 0.0000
Pa 0.5000 0.5000 0.5000
O 0.2482 0.7506 0.7506
O 0.2494 0.2494 0.2494
O 0.2494 0.2494 0.7518
O 0.2494 0.7518 0.2494
O 0.7506 0.2482 0.7506
O 0.7506 0.7506 0.2482
O 0.7506 0.7506 0.7506
O 0.7518 0.2494 0.2494

---

No. 11
For Np3GeS6, a structure optimized by DFT (GGA-PBE) gives the computed PXRD pattern in this record (CuKα).
Neutral-atom scattering factors, no anomalous dispersion.

Top 10 peaks for 10 to 90 degrees two-theta, in order of falling intensity:
d 3.489, intensity 100
d 3.440, intensity 45
d 2.389, intensity 36
d 5.210, intensity 35
d 2.079, intensity 29
d 2.342, intensity 25
d 3.367, intensity 23
d 2.518, intensity 19
d 1.814, intensity 18
d 1.976, intensity 18

Structural model:
Unit cell a=8.3240 b=8.3240 c=6.7826 alpha=90.00 beta=90.00 gamma=102.15
Sites, in units of the cell vectors:
Np 0.1022 0.8978 0.5000
Np 0.2152 0.4169 0.4069
Np 0.4169 0.2152 0.9069
Np 0.5831 0.7848 0.4069
Np 0.7848 0.5831 0.9069
Np 0.8978 0.1022 0.0000
Ge 0.3241 0.6759 0.8693
Ge 0.6759 0.3241 0.3693
S 0.0662 0.5943 0.6868
S 0.1310 0.1922 0.7046
S 0.1922 0.1310 0.2046
S 0.2710 0.7290 0.2672
S 0.4057 0.9338 0.6868
S 0.4867 0.5133 0.6511
S 0.5133 0.4867 0.1511
S 0.5943 0.0662 0.1868
S 0.7290 0.2710 0.7672
S 0.8078 0.8690 0.7046
S 0.8690 0.8078 0.2046
S 0.9338 0.4057 0.1868

---

No. 12
For TaBi2, a structure optimized by DFT (GGA-PBE) gives the computed PXRD pattern in this record (CuKα).
Neutral-atom scattering factors, no anomalous dispersion.

Top 10 peaks for 10 to 90 degrees two-theta, in order of falling intensity:
d 2.801, intensity 100
d 2.252, intensity 44
d 2.541, intensity 36
d 2.269, intensity 31
d 1.458, intensity 23
d 1.671, intensity 22
d 1.523, intensity 19
d 1.290, intensity 14
d 1.232, intensity 14
d 1.657, intensity 12

Structural model:
Unit cell a=5.8321 b=5.8321 c=5.8321 alpha=104.76 beta=104.76 gamma=119.37
Sites, in units of the cell vectors:
Ta 0.2500 0.2500 0.0000
Ta 0.7500 0.7500 0.0000
Bi 0.1553 0.6553 0.8107
Bi 0.3447 0.1553 0.5000
Bi 0.6553 0.8447 0.5000
Bi 0.8447 0.3447 0.1893

---

No. 13
For Ba3Al4Pt4, a structure optimized by DFT (GGA-PBE) gives the computed PXRD pattern in this record (CuKα).
Neutral-atom scattering factors, no anomalous dispersion.

Top 10 peaks for 10 to 90 degrees two-theta, in order of falling intensity:
d 2.873, intensity 100
d 2.894, intensity 65
d 3.411, intensity 59
d 2.659, intensity 35
d 3.186, intensity 35
d 3.160, intensity 29
d 2.996, intensity 24
d 1.830, intensity 24
d 1.855, intensity 24
d 2.622, intensity 22

Structural model:
Unit cell a=6.7996 b=6.7996 c=11.9847 alpha=90.00 beta=90.00 gamma=74.46
Sites, in units of the cell vectors:
Ba 0.0233 0.9767 0.7500
Ba 0.2190 0.2190 0.0000
Ba 0.2190 0.2190 0.5000
Ba 0.7810 0.7810 0.0000
Ba 0.7810 0.7810 0.5000
Ba 0.9767 0.0233 0.2500
Al 0.2161 0.5139 0.2500
Al 0.3970 0.6030 0.6243
Al 0.3970 0.6030 0.8757
Al 0.4861 0.7839 0.2500
Al 0.5139 0.2161 0.7500
Al 0.6030 0.3970 0.1243
Al 0.6030 0.3970 0.3757
Al 0.7839 0.4861 0.7500
Pt 0.1602 0.4665 0.7500
Pt 0.2995 0.7005 0.0738
Pt 0.2995 0.7005 0.4262
Pt 0.4665 0.1602 0.2500
Pt 0.5335 0.8398 0.7500
Pt 0.7005 0.2995 0.5738
Pt 0.7005 0.2995 0.9262
Pt 0.8398 0.5335 0.2500